Simulated PXRD pattern of K2ThP3Se9 for a wavelength of 1.5418 Å, from a crystal structure in the Materials Project, relaxed with PBE.
Intensities are scaled so that the largest is 100.

Cell and atoms:
```
K2ThP3Se9
1.0
10.344 0.000 0.000
0.244 10.698 0.000
5.042 -0.088 16.109
K Th P Se
8 4 12 36
direct
0.028 0.242 0.466
0.240 0.192 0.139
0.295 0.669 0.851
0.450 0.763 0.546
0.550 0.237 0.454
0.705 0.331 0.149
0.760 0.808 0.861
0.972 0.758 0.534
0.194 0.723 0.221
0.226 0.219 0.831
0.774 0.781 0.169
0.806 0.277 0.779
0.051 0.539 0.725
0.071 0.925 0.009
0.220 0.413 0.650
0.275 0.931 0.376
0.464 0.001 0.282
0.489 0.572 0.054
0.511 0.428 0.946
0.536 0.999 0.718
0.725 0.069 0.624
0.780 0.587 0.350
0.929 0.075 0.991
0.949 0.461 0.275
0.002 0.563 0.150
0.013 0.254 0.013
0.033 0.933 0.148
0.108 0.731 0.721
0.109 0.228 0.674
0.112 0.497 0.332
0.126 0.981 0.308
0.247 0.013 0.496
0.274 0.987 0.934
0.285 0.465 0.522
0.287 0.724 0.375
0.295 0.380 0.963
0.353 0.054 0.683
0.364 0.731 0.033
0.375 0.419 0.717
0.376 0.490 0.174
0.427 0.201 0.274
0.469 0.878 0.171
0.531 0.122 0.829
0.573 0.799 0.726
0.624 0.510 0.826
0.625 0.581 0.283
0.636 0.269 0.967
0.647 0.946 0.317
0.705 0.620 0.037
0.713 0.276 0.625
0.715 0.535 0.478
0.726 0.013 0.066
0.753 0.987 0.504
0.874 0.019 0.692
0.888 0.503 0.668
0.891 0.772 0.326
0.892 0.269 0.279
0.967 0.067 0.852
0.987 0.746 0.987
0.998 0.437 0.850
```

Principal peaks in the range 2θ from 10° to 90°, in order of rising 2θ:
| d (Å) | two_theta | I (rel.) |
| --- | --- | --- |
| 8.055 | 11.0 | 86.5 |
| 3.345 | 26.7 | 46.1 |
| 3.094 | 28.9 | 39.9 |
| 3.066 | 29.1 | 56.3 |
| 3.032 | 29.5 | 100.0 |
| 2.858 | 31.3 | 64.4 |
| 2.770 | 32.3 | 39.3 |
| 2.753 | 32.5 | 41.9 |
| 2.675 | 33.5 | 45.7 |
| 2.551 | 35.2 | 60.0 |

---

Simulated PXRD pattern of K2ThP3Se9 for a wavelength of 1.5418 Å, from a crystal structure in the Materials Project, relaxed with PBE.
Intensities are scaled so that the largest is 100.

Cell and atoms:
```
K2ThP3Se9
1.0
10.536 0.000 0.000
0.000 7.978 0.000
-9.103 0.000 20.846
K Th P Se
8 4 12 36
direct
0.059 0.101 0.323
0.059 0.399 0.823
0.258 0.588 0.500
0.258 0.912 0.000
0.742 0.088 0.000
0.742 0.412 0.500
0.941 0.601 0.177
0.941 0.899 0.677
0.396 0.093 0.646
0.396 0.407 0.146
0.604 0.593 0.854
0.604 0.907 0.354
0.120 0.123 0.158
0.120 0.377 0.658
0.280 0.587 0.693
0.280 0.913 0.193
0.430 0.112 0.486
0.430 0.388 0.986
0.570 0.612 0.014
0.570 0.888 0.514
0.720 0.087 0.807
0.720 0.413 0.307
0.880 0.623 0.342
0.880 0.877 0.842
0.073 0.531 0.343
0.073 0.969 0.843
0.137 0.214 0.068
0.137 0.286 0.568
0.206 0.718 0.117
0.206 0.782 0.617
0.222 0.172 0.726
0.222 0.328 0.226
0.238 0.023 0.494
0.238 0.477 0.994
0.294 0.676 0.788
0.294 0.824 0.288
0.424 0.195 0.393
0.424 0.305 0.893
0.480 0.045 0.209
0.480 0.455 0.709
0.480 0.707 0.434
0.480 0.793 0.934
0.520 0.207 0.066
0.520 0.293 0.566
0.520 0.545 0.291
0.520 0.955 0.791
0.576 0.695 0.107
0.576 0.805 0.607
0.706 0.176 0.712
0.706 0.324 0.212
0.762 0.523 0.006
0.762 0.977 0.506
0.778 0.672 0.774
0.778 0.828 0.274
0.794 0.218 0.383
0.794 0.282 0.883
0.863 0.714 0.432
0.863 0.786 0.932
0.927 0.031 0.157
0.927 0.469 0.657
```

Principal peaks in the range 2θ from 10° to 90°, in order of rising 2θ:
| d (Å) | two_theta | I (rel.) |
| --- | --- | --- |
| 6.339 | 14.0 | 32.3 |
| 5.529 | 16.0 | 28.5 |
| 3.729 | 23.9 | 27.5 |
| 3.178 | 28.1 | 100.0 |
| 2.996 | 29.8 | 60.6 |
| 2.936 | 30.4 | 32.7 |
| 2.811 | 31.8 | 29.4 |
| 2.628 | 34.1 | 42.5 |
| 2.620 | 34.2 | 29.2 |
| 2.401 | 37.5 | 31.0 |

---

Simulated PXRD pattern of KYP2Se6 for a wavelength of 1.5418 Å, from a crystal structure in the Materials Project, relaxed with PBE.
Intensities are scaled so that the largest is 100.

Cell and atoms:
```
KYP2Se6
1.0
6.849 0.000 0.000
0.000 7.550 0.000
0.000 0.000 21.871
K Y P Se
4 4 8 24
direct
0.124 0.019 0.496
0.376 0.981 0.996
0.624 0.481 0.504
0.876 0.519 0.004
0.217 0.181 0.251
0.283 0.819 0.751
0.717 0.319 0.749
0.783 0.681 0.249
0.176 0.448 0.390
0.192 0.329 0.834
0.308 0.671 0.334
0.324 0.552 0.890
0.676 0.052 0.610
0.692 0.171 0.166
0.808 0.829 0.666
0.824 0.948 0.110
0.067 0.872 0.331
0.075 0.868 0.170
0.088 0.737 0.629
0.111 0.766 0.880
0.119 0.540 0.482
0.130 0.451 0.743
0.370 0.549 0.243
0.381 0.460 0.982
0.389 0.234 0.380
0.412 0.263 0.129
0.425 0.132 0.670
0.433 0.128 0.831
0.567 0.628 0.669
0.575 0.632 0.830
0.588 0.763 0.371
0.611 0.734 0.120
0.619 0.960 0.518
0.630 0.049 0.257
0.870 0.951 0.757
0.881 0.040 0.018
0.889 0.266 0.620
0.912 0.237 0.871
0.925 0.368 0.330
0.933 0.372 0.169
```

Principal peaks in the range 2θ from 10° to 90°, in order of rising 2θ:
| d (Å) | two_theta | I (rel.) |
| --- | --- | --- |
| 4.942 | 18.0 | 51.0 |
| 3.105 | 28.7 | 100.0 |
| 3.087 | 28.9 | 57.4 |
| 3.011 | 29.7 | 73.1 |
| 2.858 | 31.3 | 64.0 |
| 2.843 | 31.5 | 79.6 |
| 2.734 | 32.8 | 46.3 |
| 2.709 | 33.1 | 81.2 |
| 2.660 | 33.7 | 78.8 |
| 2.520 | 35.6 | 68.0 |

---

Simulated PXRD pattern of K2SiP2 for a wavelength of 1.5418 Å, from a crystal structure in the Materials Project, relaxed with PBE.
Intensities are scaled so that the largest is 100.

Cell and atoms:
```
K2SiP2
1.0
-3.465 6.518 3.073
3.465 -6.518 3.073
3.465 6.518 -3.073
K Si P
4 2 4
direct
0.146 0.162 0.308
0.354 0.662 0.016
0.646 0.338 0.984
0.854 0.838 0.692
0.250 0.750 0.500
0.750 0.250 0.500
0.096 0.664 0.760
0.404 0.164 0.567
0.596 0.836 0.433
0.904 0.336 0.240
```

Principal peaks in the range 2θ from 10° to 90°, in order of rising 2θ:
| d (Å) | two_theta | I (rel.) |
| --- | --- | --- |
| 6.120 | 14.5 | 40.0 |
| 3.682 | 24.2 | 43.5 |
| 3.259 | 27.4 | 33.1 |
| 3.073 | 29.1 | 47.2 |
| 2.941 | 30.4 | 100.0 |
| 2.659 | 33.7 | 45.1 |
| 2.479 | 36.2 | 48.7 |
| 2.299 | 39.2 | 26.0 |
| 2.236 | 40.3 | 57.1 |
| 1.536 | 60.2 | 29.6 |

---

Simulated PXRD pattern of KPb for a wavelength of 1.5418 Å, from a crystal structure in the Materials Project, relaxed with PBE.
Intensities are scaled so that the largest is 100.

Cell and atoms:
```
KPb
1.0
-5.865 5.865 9.639
5.865 -5.865 9.639
5.865 5.865 -9.639
K Pb
16 16
direct
0.003 0.253 0.506
0.119 0.750 0.869
0.247 0.497 0.994
0.250 0.119 0.869
0.250 0.619 0.369
0.253 0.247 0.250
0.381 0.250 0.631
0.497 0.003 0.250
0.503 0.997 0.750
0.619 0.750 0.369
0.747 0.753 0.750
0.750 0.381 0.631
0.750 0.881 0.131
0.753 0.503 0.006
0.881 0.250 0.131
0.997 0.747 0.494
0.005 0.697 0.069
0.064 0.995 0.192
0.128 0.936 0.431
0.197 0.505 0.569
0.303 0.872 0.308
0.372 0.803 0.808
0.436 0.628 0.931
0.495 0.564 0.692
0.505 0.436 0.308
0.564 0.372 0.069
0.628 0.197 0.192
0.697 0.128 0.692
0.803 0.495 0.431
0.872 0.064 0.569
0.936 0.005 0.808
0.995 0.303 0.931
```

Principal peaks in the range 2θ from 10° to 90°, in order of rising 2θ:
| d (Å) | two_theta | I (rel.) |
| --- | --- | --- |
| 6.287 | 14.1 | 100.0 |
| 5.865 | 15.1 | 24.7 |
| 3.208 | 27.8 | 36.5 |
| 3.107 | 28.7 | 31.7 |
| 2.996 | 29.8 | 18.8 |
| 2.937 | 30.4 | 46.9 |
| 2.902 | 30.8 | 26.2 |
| 2.805 | 31.9 | 14.7 |
| 2.486 | 36.1 | 23.3 |
| 2.165 | 41.7 | 16.4 |

---

Simulated PXRD pattern of KPb2 for a wavelength of 1.5418 Å, from a crystal structure in the Materials Project, relaxed with PBE.
Intensities are scaled so that the largest is 100.

Cell and atoms:
```
KPb2
1.0
6.753 0.000 0.000
-3.377 5.849 0.000
0.000 0.000 11.137
K Pb
4 8
direct
0.333 0.667 0.063
0.333 0.667 0.437
0.667 0.333 0.563
0.667 0.333 0.937
0.000 0.000 0.000
0.000 0.000 0.500
0.166 0.331 0.750
0.166 0.834 0.750
0.331 0.166 0.250
0.669 0.834 0.750
0.834 0.166 0.250
0.834 0.669 0.250
```

Principal peaks in the range 2θ from 10° to 90°, in order of rising 2θ:
| d (Å) | two_theta | I (rel.) |
| --- | --- | --- |
| 5.849 | 15.1 | 64.3 |
| 5.568 | 15.9 | 32.4 |
| 5.178 | 17.1 | 28.7 |
| 2.887 | 31.0 | 73.6 |
| 2.828 | 31.6 | 100.0 |
| 2.784 | 32.1 | 34.1 |
| 2.589 | 34.6 | 59.0 |
| 2.297 | 39.2 | 39.7 |
| 1.772 | 51.6 | 30.4 |
| 1.444 | 64.6 | 28.9 |

---

Simulated PXRD pattern of KPb3 for a wavelength of 1.5418 Å, from a crystal structure in the Materials Project, relaxed with PBE.
Intensities are scaled so that the largest is 100.

Cell and atoms:
```
KPb3
1.0
5.101 0.000 0.000
0.000 5.101 0.000
0.000 0.000 5.101
K Pb
1 3
direct
0.000 0.000 0.000
0.000 0.500 0.500
0.500 0.000 0.500
0.500 0.500 0.000
```

Principal peaks in the range 2θ from 10° to 90°, in order of rising 2θ:
| d (Å) | two_theta | I (rel.) |
| --- | --- | --- |
| 5.101 | 17.4 | 16.8 |
| 3.607 | 24.7 | 15.2 |
| 2.945 | 30.3 | 100.0 |
| 2.551 | 35.2 | 51.1 |
| 2.281 | 39.5 | 9.6 |
| 1.804 | 50.6 | 36.9 |
| 1.538 | 60.2 | 44.2 |
| 1.473 | 63.1 | 12.8 |
| 1.170 | 82.4 | 18.9 |
| 1.141 | 85.0 | 17.7 |

---

Simulated PXRD pattern of K2Pd for a wavelength of 1.5418 Å, from a crystal structure in the Materials Project, relaxed with PBE.
Intensities are scaled so that the largest is 100.

Cell and atoms:
```
K2Pd
1.0
5.667 0.000 0.000
0.000 5.667 0.000
0.000 0.000 3.665
K Pd
2 1
direct
0.000 0.500 0.000
0.500 0.000 0.000
0.000 0.000 0.500
```

Principal peaks in the range 2θ from 10° to 90°, in order of rising 2θ:
| d (Å) | two_theta | I (rel.) |
| --- | --- | --- |
| 5.667 | 15.6 | 100.0 |
| 3.078 | 29.0 | 44.5 |
| 2.834 | 31.6 | 55.0 |
| 2.705 | 33.1 | 96.1 |
| 2.534 | 35.4 | 26.0 |
| 2.085 | 43.4 | 29.2 |
| 2.004 | 45.3 | 19.1 |
| 1.610 | 57.2 | 36.4 |
| 1.539 | 60.1 | 15.5 |
| 1.352 | 69.5 | 9.8 |

---

What did the fourth record say?
Simulated PXRD pattern of K2SiP2 for a wavelength of 1.5418 Å, from a crystal structure in the Materials Project, relaxed with PBE.
Intensities are scaled so that the largest is 100.

Cell and atoms:
```
K2SiP2
1.0
-3.465 6.518 3.073
3.465 -6.518 3.073
3.465 6.518 -3.073
K Si P
4 2 4
direct
0.146 0.162 0.308
0.354 0.662 0.016
0.646 0.338 0.984
0.854 0.838 0.692
0.250 0.750 0.500
0.750 0.250 0.500
0.096 0.664 0.760
0.404 0.164 0.567
0.596 0.836 0.433
0.904 0.336 0.240
```

Principal peaks in the range 2θ from 10° to 90°, in order of rising 2θ:
| d (Å) | two_theta | I (rel.) |
| --- | --- | --- |
| 6.120 | 14.5 | 40.0 |
| 3.682 | 24.2 | 43.5 |
| 3.259 | 27.4 | 33.1 |
| 3.073 | 29.1 | 47.2 |
| 2.941 | 30.4 | 100.0 |
| 2.659 | 33.7 | 45.1 |
| 2.479 | 36.2 | 48.7 |
| 2.299 | 39.2 | 26.0 |
| 2.236 | 40.3 | 57.1 |
| 1.536 | 60.2 | 29.6 |